Record 1
Starting from a crystal structure in Alexandria, relaxed with PBE, the powder diffraction line list of Ba2InRuO6 was computed for Cu Kα (weighted mean of Kα1 and Kα2).
Kinematic intensities with the Lorentz-polarization factor, no thermal factor.

Peak list (10 most intense, 2θ = 5–70°, in order of rising 2θ)
d [Å]	2θ (°)	intensity
3.551	25.08	16
2.993	29.85	70
2.969	30.10	100
2.555	35.12	11
2.278	39.56	14
2.108	42.90	39
1.947	46.66	10
1.719	53.29	28
1.714	53.45	20
1.485	62.56	19

Structural model:
Cell: 5.939 5.939 14.723 Å, 90.00 90.00 120.00°
Fractional coordinates of all 30 atoms:
Ba: 0.000 0.000 0.248
Ba: 0.000 0.000 0.752
Ba: 0.333 0.667 0.095
Ba: 0.333 0.667 0.404
Ba: 0.667 0.333 0.596
Ba: 0.667 0.333 0.905
In: 0.000 0.000 0.000
In: 0.333 0.667 0.652
In: 0.667 0.333 0.348
Ru: 0.000 0.000 0.500
Ru: 0.333 0.667 0.843
Ru: 0.667 0.333 0.157
O: 0.026 0.513 0.757
O: 0.156 0.313 0.578
O: 0.156 0.844 0.578
O: 0.172 0.345 0.915
O: 0.172 0.828 0.915
O: 0.313 0.156 0.422
O: 0.345 0.172 0.085
O: 0.487 0.513 0.757
O: 0.487 0.974 0.757
O: 0.513 0.026 0.243
O: 0.513 0.487 0.243
O: 0.655 0.828 0.915
O: 0.687 0.844 0.578
O: 0.828 0.172 0.085
O: 0.828 0.655 0.085
O: 0.844 0.156 0.422
O: 0.844 0.687 0.422
O: 0.974 0.487 0.243


Record 2
Starting from a crystal structure in Alexandria, relaxed with PBE, the powder diffraction line list of Ba2NaSr2Sb3O12 was computed for Cu Kα (weighted mean of Kα1 and Kα2).
Kinematic intensities with the Lorentz-polarization factor, no thermal factor.

Peak list (10 most intense, 2θ = 5–70°, in order of rising 2θ)
d [Å]	2θ (°)	intensity
5.899	15.02	11
3.389	26.30	6
2.949	30.31	100
2.928	30.53	52
2.101	43.05	17
2.070	43.73	31
1.707	53.70	21
1.694	54.13	42
1.475	63.04	19
1.464	63.56	9

Structural model:
Cell: 8.281 8.281 8.405 Å, 90.00 90.00 90.00°
Fractional coordinates of all 40 atoms:
Ba: 0.248 0.252 0.250
Ba: 0.252 0.752 0.750
Ba: 0.748 0.248 0.750
Ba: 0.752 0.748 0.250
Na: 0.000 0.000 0.000
Na: 0.500 0.500 0.500
Sr: 0.247 0.253 0.750
Sr: 0.253 0.753 0.250
Sr: 0.747 0.247 0.250
Sr: 0.753 0.747 0.750
Sb: 0.000 0.000 0.500
Sb: 0.000 0.500 0.000
Sb: 0.000 0.500 0.500
Sb: 0.500 0.000 0.000
Sb: 0.500 0.000 0.500
Sb: 0.500 0.500 0.000
O: 0.000 0.000 0.272
O: 0.000 0.000 0.728
O: 0.000 0.500 0.250
O: 0.000 0.500 0.750
O: 0.037 0.272 0.991
O: 0.043 0.750 0.490
O: 0.228 0.463 0.509
O: 0.250 0.043 0.510
O: 0.250 0.543 0.010
O: 0.272 0.963 0.009
O: 0.457 0.250 0.990
O: 0.463 0.772 0.491
O: 0.500 0.000 0.250
O: 0.500 0.000 0.750
O: 0.500 0.500 0.228
O: 0.500 0.500 0.772
O: 0.537 0.228 0.491
O: 0.543 0.750 0.990
O: 0.728 0.037 0.009
O: 0.750 0.457 0.010
O: 0.750 0.957 0.510
O: 0.772 0.537 0.509
O: 0.957 0.250 0.490
O: 0.963 0.728 0.991


Record 3
Starting from a crystal structure in Alexandria, relaxed with PBE, the powder diffraction line list of Pm6YHo2 was computed for Cu Kα (weighted mean of Kα1 and Kα2).
Kinematic intensities with the Lorentz-polarization factor, no thermal factor.

Peak list (10 most intense, 2θ = 5–70°, in order of rising 2θ)
d [Å]	2θ (°)	intensity
3.079	29.00	36
2.947	30.33	100
2.762	32.42	11
2.742	32.65	35
2.415	37.23	17
2.341	38.45	21
1.830	49.84	10
1.753	52.18	11
1.606	57.36	20
1.554	59.49	12

Structural model:
Cell: 9.997 9.997 3.659 Å, 90.00 90.00 124.03°
Fractional coordinates of all 9 atoms:
Pm: 0.012 0.342 0.000
Pm: 0.182 0.182 0.500
Pm: 0.342 0.012 0.000
Pm: 0.658 0.988 0.000
Pm: 0.818 0.818 0.500
Pm: 0.988 0.658 0.000
Y: 0.500 0.500 0.000
Ho: 0.321 0.679 0.500
Ho: 0.679 0.321 0.500


Record 4
Starting from a crystal structure in Alexandria, relaxed with PBE, the powder diffraction line list of LaNd4Y5 was computed for Cu Kα (weighted mean of Kα1 and Kα2).
Kinematic intensities with the Lorentz-polarization factor, no thermal factor.

Peak list (10 most intense, 2θ = 5–70°, in order of rising 2θ)
d [Å]	2θ (°)	intensity
8.745	10.11	12
3.451	25.82	18
3.353	26.58	27
2.915	30.67	26
2.850	31.39	25
2.819	31.75	29
2.685	33.37	100
1.897	47.96	12
1.518	61.05	12
1.513	61.25	12

Structural model:
Cell: 8.927 8.927 11.268 Å, 90.17 90.17 23.17°
Fractional coordinates of all 10 atoms:
La: 0.000 0.000 0.000
Nd: 0.154 0.154 0.250
Nd: 0.470 0.470 0.252
Nd: 0.530 0.530 0.748
Nd: 0.846 0.846 0.750
Y: 0.000 0.000 0.500
Y: 0.324 0.324 0.058
Y: 0.326 0.326 0.447
Y: 0.674 0.674 0.553
Y: 0.676 0.676 0.942


Record 5
Starting from a crystal structure in Alexandria, relaxed with PBE, the powder diffraction line list of Mn6V12Cr was computed for Cu Kα (weighted mean of Kα1 and Kα2).
Kinematic intensities with the Lorentz-polarization factor, no thermal factor.

Peak list (10 most intense, 2θ = 5–70°, in order of rising 2θ)
d [Å]	2θ (°)	intensity
5.128	17.29	16
2.408	37.34	17
2.359	38.15	23
2.143	42.17	100
2.111	42.85	71
2.006	45.20	67
1.994	45.50	37
1.977	45.89	40
1.952	46.53	30
1.868	48.74	33

Structural model:
Cell: 6.520 6.520 6.520 Å, 103.74 103.74 103.74°
Fractional coordinates of all 19 atoms:
Mn: 0.000 0.273 0.727
Mn: 0.000 0.727 0.273
Mn: 0.273 0.000 0.727
Mn: 0.273 0.727 0.000
Mn: 0.727 0.000 0.273
Mn: 0.727 0.273 0.000
V: 0.147 0.147 0.406
V: 0.147 0.406 0.147
V: 0.180 0.610 0.610
V: 0.390 0.390 0.820
V: 0.390 0.820 0.390
V: 0.406 0.147 0.147
V: 0.594 0.853 0.853
V: 0.610 0.180 0.610
V: 0.610 0.610 0.180
V: 0.820 0.390 0.390
V: 0.853 0.594 0.853
V: 0.853 0.853 0.594
Cr: 0.500 0.500 0.500


Record 6
Starting from a crystal structure in Alexandria, relaxed with PBE, the powder diffraction line list of CuHg2SbO4 was computed for Cu Kα (weighted mean of Kα1 and Kα2).
Kinematic intensities with the Lorentz-polarization factor, no thermal factor.

Peak list (10 most intense, 2θ = 5–70°, in order of rising 2θ)
d [Å]	2θ (°)	intensity
5.610	15.80	19
5.378	16.48	26
4.025	22.09	23
3.785	23.50	59
2.892	30.92	19
2.844	31.45	46
2.768	32.34	100
2.705	33.12	22
2.296	39.24	20
1.926	47.20	19

Structural model:
Cell: 4.598 5.832 5.968 Å, 85.16 70.28 67.43°
Fractional coordinates of all 8 atoms:
Cu: 0.000 0.000 0.000
Hg: 0.303 0.315 0.068
Hg: 0.962 0.446 0.765
Sb: 0.459 0.792 0.396
O: 0.088 0.863 0.685
O: 0.369 0.721 0.122
O: 0.603 0.071 0.306
O: 0.818 0.507 0.444